This entry pairs a crystal structure of UGa2CoO8 with its calculated X-ray diffraction stick pattern. Radiation: copper Kα. Structure: DFT lattice parameters and positions (PBE+U).
Intensities are scaled so that the largest is 1000.

Structure:
```
data_UGa2CoO8
_cell_length_a 4.6930
_cell_length_b 4.6964
_cell_length_c 6.1814
_cell_angle_alpha 88.03
_cell_angle_beta 88.03
_cell_angle_gamma 88.55
_symmetry_space_group_name_H-M 'P -1'
_symmetry_Int_Tables_number 2
loop_
_symmetry_equiv_pos_as_xyz
'x,y,z'
'-x,-y,-z'
loop_
_atom_site_label
_atom_site_type_symbol
_atom_site_fract_x
_atom_site_fract_y
_atom_site_fract_z
U1 U 0.0000 0.0000 0.0000
Ga1 Ga 0.4946 0.4946 0.2648
Co1 Co 0.0000 0.0000 0.5000
O1 O 0.1945 0.1931 0.2697
O2 O 0.2032 0.2017 0.7489
O3 O 0.2931 0.7057 0.5001
O4 O 0.3141 0.6841 0.0000
```

Largest 10 diffraction maxima, most intense first, 10 to 90 degrees two-theta:
2θ = 26.5°, rel. 1000, hkl 1 1 0; 2θ = 27.2°, rel. 949, hkl 1 -1 0; 2θ = 34.2°, rel. 811, hkl 1 0 2; 2θ = 35.3°, rel. 686, hkl 1 0 -2; 2θ = 53.5°, rel. 597, hkl 2 1 -2; 2θ = 18.9°, rel. 423, hkl 1 0 0; 2θ = 38.4°, rel. 419, hkl 0 2 0; 2θ = 14.3°, rel. 403, hkl 0 0 1; 2θ = 24.2°, rel. 369, hkl 1 0 -1; 2θ = 23.4°, rel. 361, hkl 1 0 1